(1)
Theoretical X-ray powder pattern of TlIn5Se7 for λ = 1.5418 Å (Cu Kα), from a crystal structure in the Materials Project, relaxed with GGA-PBE.
Intensities are scaled so that the largest is 100.

```
data_TlIn5Se7
_chemical_formula_sum 'Tl2 In10 Se14'
_cell_length_a 9.632
_cell_length_b 4.140
_cell_length_c 18.176
_cell_angle_alpha 90.00
_cell_angle_beta 100.98
_cell_angle_gamma 90.00
_symmetry_space_group_name_H-M 'P 1 21/m 1'
_symmetry_Int_Tables_number 11
loop_
_symmetry_equiv_pos_as_xyz
'x,y,z'
'-x,-y,-z'
'-x,y+1/2,-z'
'x,-y+1/2,z'
loop_
_atom_site_label
_atom_site_type_symbol
_atom_site_fract_x
_atom_site_fract_y
_atom_site_fract_z
Tl1 Tl 0.023 0.250 0.228
In1 In 0.148 0.750 0.453
In2 In 0.171 0.250 0.034
In3 In 0.321 0.750 0.687
In4 In 0.432 0.250 0.377
In5 In 0.484 0.250 0.898
Se1 Se 0.030 0.750 0.091
Se2 Se 0.057 0.750 0.591
Se3 Se 0.257 0.750 0.323
Se4 Se 0.264 0.250 0.772
Se5 Se 0.331 0.750 0.967
Se6 Se 0.336 0.250 0.506
Se7 Se 0.379 0.250 0.156
```

Largest 6 diffraction maxima, by angle, 2θ from 10° to 80°:
| 2θ/deg | d_spacing | I_rel | (hkl) |
| --- | --- | --- | --- |
| 28.32 | 3.151 | 53 | 2 0 -5 |
| 29.73 | 3.005 | 98 | 2 1 1 |
| 30.68 | 2.914 | 100 | 2 1 -3 |
| 32.94 | 2.719 | 75 | 2 1 -4 |
| 37.23 | 2.415 | 43 | 0 1 6 |
| 43.73 | 2.070 | 71 | 0 2 0 |

(2)
Theoretical X-ray powder pattern of Tl3In7Se10 for λ = 1.5418 Å (Cu Kα), from a crystal structure in the Materials Project, relaxed with GGA-PBE.
Intensities are scaled so that the largest is 100.

```
data_Tl3In7Se10
_chemical_formula_sum 'Tl6 In14 Se20'
_cell_length_a 6.766
_cell_length_b 10.767
_cell_length_c 16.659
_cell_angle_alpha 102.31
_cell_angle_beta 91.14
_cell_angle_gamma 97.79
_symmetry_space_group_name_H-M 'P -1'
_symmetry_Int_Tables_number 2
loop_
_symmetry_equiv_pos_as_xyz
'x,y,z'
'-x,-y,-z'
loop_
_atom_site_label
_atom_site_type_symbol
_atom_site_fract_x
_atom_site_fract_y
_atom_site_fract_z
Tl1 Tl 0.151 0.100 0.450
Tl2 Tl 0.250 0.500 0.750
Tl3 Tl 0.349 0.899 0.050
In1 In 0.050 0.200 0.150
In2 In 0.050 0.700 0.150
In3 In 0.149 0.600 0.450
In4 In 0.250 0.000 0.750
In5 In 0.350 0.400 0.050
In6 In 0.450 0.300 0.350
In7 In 0.450 0.800 0.350
Se1 Se 0.035 0.638 0.604
Se2 Se 0.058 0.768 0.365
Se3 Se 0.142 0.031 0.235
Se4 Se 0.164 0.163 0.996
Se5 Se 0.235 0.438 0.204
Se6 Se 0.257 0.568 0.966
Se7 Se 0.342 0.830 0.834
Se8 Se 0.366 0.961 0.597
Se9 Se 0.435 0.238 0.804
Se10 Se 0.459 0.370 0.565
```

Largest 6 diffraction maxima, by angle, 2θ from 10° to 80°:
| 2θ/deg | d_spacing | I_rel | (hkl) |
| --- | --- | --- | --- |
| 21.60 | 4.114 | 41 | -1 2 1 |
| 27.44 | 3.250 | 34 | -2 1 1 |
| 30.73 | 2.909 | 52 | 0 2 4 |
| 33.82 | 2.651 | 100 | 2 2 0 |
| 49.54 | 1.840 | 24 | 3 -4 1 |
| 51.67 | 1.769 | 25 | 1 -6 1 |

(3)
Theoretical X-ray powder pattern of ZnIn2Se4 for λ = 1.5418 Å (Cu Kα), from a crystal structure in the Materials Project, relaxed with GGA-PBE.
Intensities are scaled so that the largest is 100.

Cell: 11.318 11.318 11.318 Å, 90.00 90.00 90.00°
Space group Fd-3m (No. 227, origin choice 2)
One atom of each set of equivalent atoms:
Zn 0.125 0.125 0.125 [8 per cell]
In 0.000 0.000 0.500 [16 per cell]
Se 0.005 0.005 0.745 [32 per cell]

Largest 6 diffraction maxima, by angle, 2θ from 10° to 80°:
| 2θ/deg | d_spacing | I_rel | (hkl) |
| --- | --- | --- | --- |
| 13.55 | 6.535 | 23 | 1 1 1 |
| 26.11 | 3.413 | 63 | 3 1 1 |
| 31.62 | 2.830 | 83 | 4 0 0 |
| 41.45 | 2.178 | 31 | 5 1 1 |
| 45.32 | 2.001 | 100 | 4 4 0 |
| 75.07 | 1.265 | 25 | 8 4 0 |